Calculated powder diffractogram
Compound: Na3MoF8
Radiation: a wavelength of 1.5418 Å
Structure: DFT lattice parameters and positions (PBE+U)
Intensities are scaled so that the largest is 100.

The 6 most intense peaks (2θ = 10–80°), by angle:
| 2θ (°) | Rel. int. | (hkl) |
| --- | --- | --- |
| 16.61 | 95 | 1 0 0 |
| 23.58 | 49 | 1 1 0 |
| 28.98 | 94 | 1 1 1 |
| 48.24 | 100 | 2 2 0 |
| 57.27 | 36 | 3 1 1 |
| 62.79 | 18 | 3 2 0 |

Structure:
```
data_Na3MoF8
_cell_length_a 5.336
_cell_length_b 5.336
_cell_length_c 5.336
_cell_angle_alpha 90.00
_cell_angle_beta 90.00
_cell_angle_gamma 90.00
_space_group_name_H-M_alt 'P m -3 m'
_space_group_IT_number 221
_space_group_name_Hall '-P 4 2 3'
loop_
_atom_site_label
_atom_site_type_symbol
_atom_site_fract_x
_atom_site_fract_y
_atom_site_fract_z
Na1 Na 0.000 0.000 0.500
Mo1 Mo 0.500 0.500 0.500
F1 F 0.277 0.277 0.277
```